[1]
# SrCd9In3
Computed powder diffraction line list, Cu Kα X-rays. Input: the PBE geometry in Alexandria.
No peak broadening, texture or thermal motion is included.

Main lines, sorted by position (2θ = 5–70°):
| (hkl) | Position (°2θ) | I/Imax |
| --- | --- | --- |
| 2 0 -1 | 26.9 | 21 |
| 1 3 1 | 30.0 | 43 |
| 2 2 0 | 32.4 | 100 |
| 1 1 2 | 35.0 | 51 |
| 1 5 -1 | 35.2 | 50 |
| 0 4 2 | 36.0 | 64 |
| 2 0 1 | 37.1 | 23 |
| 2 0 -3 | 37.3 | 81 |
| 0 2 3 | 40.3 | 24 |
| 0 6 1 | 40.5 | 24 |

Structure:
```
data_SrCd9In3
_chemical_formula_sum 'Sr2 Cd18 In6'
_cell_length_a 6.626
_cell_length_b 14.072
_cell_length_c 7.811
_cell_angle_alpha 90.00
_cell_angle_beta 114.89
_cell_angle_gamma 90.00
_symmetry_space_group_name_H-M 'C 1 2/m 1'
_symmetry_Int_Tables_number 12
loop_
_symmetry_equiv_pos_as_xyz
'x,y,z'
'-x,-y,-z'
'-x,y,-z'
'x,-y,z'
'x+1/2,y+1/2,z'
'-x+1/2,-y+1/2,-z'
'-x+1/2,y+1/2,-z'
'x+1/2,-y+1/2,z'
loop_
_atom_site_label
_atom_site_type_symbol
_atom_site_fract_x
_atom_site_fract_y
_atom_site_fract_z
Sr1 Sr 0.000 0.000 0.000
Cd1 Cd 0.000 0.500 0.500
Cd2 Cd 0.102 0.393 0.217
Cd3 Cd 0.185 0.176 0.354
In1 In 0.000 0.000 0.500
In2 In 0.250 0.250 0.000
```

[2]
# SrCd2In
Computed powder diffraction line list, Cu Kα X-rays. Input: the PBE geometry in Alexandria.
No peak broadening, texture or thermal motion is included.

Main lines, sorted by position (2θ = 5–70°):
| (hkl) | Position (°2θ) | I/Imax |
| --- | --- | --- |
| 0 0 1 | 7.8 | 41 |
| 1 1 0 | 27.7 | 58 |
| 1 1 1 | 28.8 | 74 |
| 1 0 3 | 30.8 | 76 |
| 1 1 2 | 32.0 | 61 |
| 1 1 3 | 36.7 | 82 |
| 1 0 4 | 37.4 | 78 |
| 2 0 0 | 39.6 | 100 |
| 2 1 3 | 51.0 | 36 |
| 2 1 4 | 55.6 | 47 |

Structure:
```
data_SrCd2In
_chemical_formula_sum 'Sr2 Cd4 In2'
_cell_length_a 4.553
_cell_length_b 4.553
_cell_length_c 11.319
_cell_angle_alpha 90.00
_cell_angle_beta 90.00
_cell_angle_gamma 90.00
_symmetry_space_group_name_H-M 'P 4/n m m'
_symmetry_Int_Tables_number 129
loop_
_symmetry_equiv_pos_as_xyz
'x,y,z'
'-x,-y,-z'
'-y+1/2,x,z'
'y+1/2,-x,-z'
'-x+1/2,-y+1/2,z'
'x+1/2,y+1/2,-z'
'y,-x+1/2,z'
'-y,x+1/2,-z'
'x+1/2,-y,-z'
'-x+1/2,y,z'
'-y,-x,-z'
'y,x,z'
'-x,y+1/2,-z'
'x,-y+1/2,z'
'y+1/2,x+1/2,-z'
'-y+1/2,-x+1/2,z'
loop_
_atom_site_label
_atom_site_type_symbol
_atom_site_fract_x
_atom_site_fract_y
_atom_site_fract_z
Sr1 Sr 0.250 0.250 0.234
Cd1 Cd 0.250 0.250 0.938
Cd2 Cd 0.250 0.750 0.500
In1 In 0.250 0.250 0.667
```

[3]
# SrCd2In4
Computed powder diffraction line list, Cu Kα X-rays. Input: the PBE geometry in Alexandria.
No peak broadening, texture or thermal motion is included.

Main lines, sorted by position (2θ = 5–70°):
| (hkl) | Position (°2θ) | I/Imax |
| --- | --- | --- |
| 3 1 -1 | 28.8 | 33 |
| 0 2 1 | 29.0 | 28 |
| 2 2 0 | 30.2 | 100 |
| 2 0 1 | 35.2 | 45 |
| 1 1 -2 | 35.8 | 45 |
| 3 1 -2 | 36.1 | 26 |
| 1 3 -1 | 36.6 | 48 |
| 2 2 -2 | 39.4 | 38 |
| 1 3 2 | 57.1 | 22 |
| 5 3 -2 | 57.8 | 20 |

Structure:
```
data_SrCd2In4
_chemical_formula_sum 'Sr2 Cd4 In8'
_cell_length_a 10.091
_cell_length_b 8.218
_cell_length_c 5.508
_cell_angle_alpha 90.00
_cell_angle_beta 122.16
_cell_angle_gamma 90.00
_symmetry_space_group_name_H-M 'C 1 2/m 1'
_symmetry_Int_Tables_number 12
loop_
_symmetry_equiv_pos_as_xyz
'x,y,z'
'-x,-y,-z'
'-x,y,-z'
'x,-y,z'
'x+1/2,y+1/2,z'
'-x+1/2,-y+1/2,-z'
'-x+1/2,y+1/2,-z'
'x+1/2,-y+1/2,z'
loop_
_atom_site_label
_atom_site_type_symbol
_atom_site_fract_x
_atom_site_fract_y
_atom_site_fract_z
Sr1 Sr 0.000 0.000 0.000
Cd1 Cd 0.032 0.500 0.783
In1 In 0.190 0.193 0.684
```